For Na4MnO4, a crystal structure in Alexandria, relaxed with GGA+U gives the calculated PXRD pattern in this record (Cu Kα, 1.54184 Å).
Peak positions follow from Bragg's law for the DFT cell and can differ from measured ones.

Peak list (10 most intense, 2θ from 10° to 90°, most intense first)
Position (°2θ)  I/Imax
18.08  100
31.63  98
18.22  79
21.00  69
34.44  62
32.22  56
38.32  55
19.57  51
24.02  47
44.13  45

Structure:
Cell: 6.381 5.652 9.889 Å, 90.00 129.76 90.00°
Space group Pc (No. 7)
Symmetry-distinct sites (fractional):
Na1 0.000 0.114 0.000 [2 per cell]
Na2 0.323 0.308 0.559 [2 per cell]
Na3 0.554 0.300 0.334 [2 per cell]
Na4 0.828 0.379 0.148 [2 per cell]
Mn1 0.274 0.182 0.828 [2 per cell]
O1 0.199 0.129 0.307 [2 per cell]
O2 0.372 0.299 0.036 [2 per cell]
O3 0.576 0.259 0.858 [2 per cell]
O4 0.991 0.273 0.601 [2 per cell]